# 1
For Cu3AsP4, a GGA-PBE-relaxed structure gives the computed powder diffractogram in this record (Cu Kα X-rays).
Neutral-atom scattering factors, no anomalous dispersion.

a = 5.2704 Å, b = 5.2704 Å, c = 5.2704 Å
α = 90.00°, β = 90.00°, γ = 90.00°
Element x y z (fractional)
1 Cu 0.0000 0.0000 0.5000
2 Cu 0.0000 0.5000 0.0000
3 Cu 0.5000 0.0000 0.0000
4 As 0.5000 0.5000 0.5000
5 P 0.2433 0.2433 0.7567
6 P 0.2433 0.7567 0.2433
7 P 0.7567 0.2433 0.2433
8 P 0.7567 0.7567 0.7567

Principal peaks in the range 2θ from 15° to 90°, most intense first:
d [Å]  2theta  I/Imax
3.043  29.35  100
1.863  48.88  59
1.589  58.04  40
1.209  79.23  15
2.635  34.02  14
1.318  71.62  9

# 2
For Cu3As2P8, a GGA-PBE-relaxed structure gives the computed powder diffractogram in this record (Cu Kα X-rays).
Neutral-atom scattering factors, no anomalous dispersion.

a = 5.6551 Å, b = 5.8287 Å, c = 8.2749 Å
α = 87.18°, β = 74.97°, γ = 67.59°
Element x y z (fractional)
1 Cu 0.0000 0.0000 0.0000
2 Cu 0.4619 0.3158 0.7154
3 Cu 0.5381 0.6842 0.2846
4 As 0.3113 0.4245 0.2030
5 As 0.6887 0.5755 0.7970
6 P 0.0953 0.5393 0.5976
7 P 0.1583 0.5702 0.9633
8 P 0.1794 0.8720 0.5327
9 P 0.4259 0.9984 0.8889
10 P 0.5741 0.0016 0.1111
11 P 0.8206 0.1280 0.4673
12 P 0.8417 0.4298 0.0367
13 P 0.9047 0.4607 0.4024

Principal peaks in the range 2θ from 15° to 90°, most intense first:
d [Å]  2theta  I/Imax
2.796  32.01  100
3.128  28.53  67
3.293  27.07  62
3.375  26.41  56
5.380  16.48  47
2.719  32.94  43

# 3
For CuAsP2, a GGA-PBE-relaxed structure gives the computed powder diffractogram in this record (Cu Kα X-rays).
Neutral-atom scattering factors, no anomalous dispersion.

a = 2.6414 Å, b = 4.4451 Å, c = 5.9928 Å
α = 90.00°, β = 98.32°, γ = 90.00°
Element x y z (fractional)
1 Cu 0.0000 0.0000 0.0000
2 As 0.7580 0.5000 0.8308
3 P 0.6053 0.0000 0.3351
4 P 0.6421 0.5000 0.4356

Principal peaks in the range 2θ from 15° to 90°, most intense first:
d [Å]  2theta  I/Imax
3.557  25.04  100
2.223  40.59  66
1.806  50.54  57
1.694  54.13  53
2.965  30.14  51
2.531  35.47  48

# 4
For Sr2Cu4As3P, a GGA-PBE-relaxed structure gives the computed powder diffractogram in this record (Cu Kα X-rays).
Neutral-atom scattering factors, no anomalous dispersion.

a = 4.3189 Å, b = 4.3189 Å, c = 9.9876 Å
α = 90.00°, β = 90.00°, γ = 90.00°
Element x y z (fractional)
1 Sr 0.0000 0.5000 0.2483
2 Sr 0.5000 0.0000 0.7517
3 Cu 0.0000 0.0000 0.5000
4 Cu 0.0000 0.5000 0.8821
5 Cu 0.5000 0.0000 0.1179
6 Cu 0.5000 0.5000 0.5000
7 As 0.0000 0.0000 0.0000
8 As 0.0000 0.5000 0.6327
9 As 0.5000 0.0000 0.3673
10 P 0.5000 0.5000 0.0000

Principal peaks in the range 2θ from 15° to 90°, most intense first:
d [Å]  2theta  I/Imax
2.605  34.42  100
2.159  41.83  83
2.637  34.00  83
1.671  54.96  41
1.933  47.01  29
1.527  60.64  27

# 5
For Sr2CuAsP, a GGA-PBE-relaxed structure gives the computed powder diffractogram in this record (Cu Kα X-rays).
Neutral-atom scattering factors, no anomalous dispersion.

a = 4.0260 Å, b = 8.3871 Å, c = 7.6127 Å
α = 90.00°, β = 90.00°, γ = 90.00°
Element x y z (fractional)
1 Sr 0.2500 0.0177 0.2472
2 Sr 0.2500 0.4823 0.2472
3 Sr 0.7500 0.5177 0.7528
4 Sr 0.7500 0.9823 0.7528
5 Cu 0.2500 0.2500 0.5945
6 Cu 0.7500 0.7500 0.4055
7 As 0.2500 0.2500 0.9075
8 As 0.7500 0.7500 0.0925
9 P 0.2500 0.7500 0.5540
10 P 0.7500 0.2500 0.4460

Principal peaks in the range 2θ from 15° to 90°, most intense first:
d [Å]  2theta  I/Imax
2.713  33.01  100
2.818  31.75  51
2.147  42.09  43
3.630  24.53  28
1.500  61.85  24
1.638  56.15  19

# 6
For Pa2CuAs4, a GGA-PBE-relaxed structure gives the computed powder diffractogram in this record (Cu Kα X-rays).
Neutral-atom scattering factors, no anomalous dispersion.

a = 4.0292 Å, b = 4.0292 Å, c = 8.9359 Å
α = 90.00°, β = 90.00°, γ = 90.00°
Element x y z (fractional)
1 Pa 0.0000 0.5000 0.2483
2 Pa 0.5000 0.0000 0.7517
3 Cu 0.0000 0.0000 0.5000
4 As 0.0000 0.0000 0.0000
5 As 0.0000 0.5000 0.6575
6 As 0.5000 0.0000 0.3425
7 As 0.5000 0.5000 0.0000

Principal peaks in the range 2θ from 15° to 90°, most intense first:
d [Å]  2theta  I/Imax
2.402  37.44  100
3.673  24.23  60
2.395  37.55  43
2.015  45.00  38
1.225  77.99  29
1.542  60.00  22

# 7
For Cu6As4Pb, a GGA-PBE-relaxed structure gives the computed powder diffractogram in this record (Cu Kα X-rays).
Neutral-atom scattering factors, no anomalous dispersion.

a = 11.1218 Å, b = 11.1218 Å, c = 11.1218 Å
α = 158.19°, β = 158.19°, γ = 31.03°
Element x y z (fractional)
1 Cu 0.1219 0.6219 0.5000
2 Cu 0.2500 0.7500 0.5000
3 Cu 0.3781 0.8781 0.5000
4 Cu 0.6219 0.1219 0.5000
5 Cu 0.7500 0.2500 0.5000
6 Cu 0.8781 0.3781 0.5000
7 As 0.0612 0.0612 0.0000
8 As 0.3129 0.3129 0.0000
9 As 0.6871 0.6871 0.0000
10 As 0.9388 0.9388 0.0000
11 Pb 0.5000 0.5000 0.0000

Principal peaks in the range 2θ from 15° to 90°, most intense first:
d [Å]  2theta  I/Imax
3.003  29.75  100
2.104  42.99  99
2.867  31.20  62
2.601  34.48  51
1.991  45.56  50
2.286  39.41  43

# 8
For Cu2AsPb, a GGA-PBE-relaxed structure gives the computed powder diffractogram in this record (Cu Kα X-rays).
Neutral-atom scattering factors, no anomalous dispersion.

a = 4.0401 Å, b = 4.0401 Å, c = 17.3088 Å
α = 90.00°, β = 90.00°, γ = 120.00°
Element x y z (fractional)
1 Cu 0.0000 0.0000 0.0000
2 Cu 0.0000 0.0000 0.2466
3 Cu 0.3333 0.6667 0.6667
4 Cu 0.3333 0.6667 0.9132
5 Cu 0.6667 0.3333 0.3333
6 Cu 0.6667 0.3333 0.5799
7 As 0.0000 0.0000 0.6226
8 As 0.3333 0.6667 0.2892
9 As 0.6667 0.3333 0.9559
10 Pb 0.0000 0.0000 0.4484
11 Pb 0.3333 0.6667 0.1151
12 Pb 0.6667 0.3333 0.7817

Principal peaks in the range 2θ from 15° to 90°, most intense first:
d [Å]  2theta  I/Imax
2.461  36.51  100
2.020  44.87  97
3.430  25.98  72
2.721  32.92  55
3.244  27.50  48
1.655  55.54  35

# 9
For CuAsPbS3, a GGA-PBE-relaxed structure gives the computed powder diffractogram in this record (Cu Kα X-rays).
Neutral-atom scattering factors, no anomalous dispersion.

a = 7.6889 Å, b = 8.1911 Å, c = 9.0575 Å
α = 90.00°, β = 90.00°, γ = 90.00°
Element x y z (fractional)
1 Cu 0.2385 0.2231 0.0000
2 Cu 0.2615 0.7769 0.5000
3 Cu 0.7385 0.7769 0.5000
4 Cu 0.7615 0.2231 0.0000
5 As 0.0000 0.0010 0.7332
6 As 0.0000 0.5643 0.1526
7 As 0.5000 0.4357 0.6526
8 As 0.5000 0.9990 0.2332
9 Pb 0.0000 0.0458 0.2667
10 Pb 0.0000 0.4216 0.5797
11 Pb 0.5000 0.5784 0.0797
12 Pb 0.5000 0.9542 0.7667
13 S 0.0000 0.2476 0.8528
14 S 0.0000 0.7155 0.3712
15 S 0.2242 0.0507 0.5707
16 S 0.2273 0.3911 0.2076
17 S 0.2727 0.6089 0.7076
18 S 0.2758 0.9493 0.0707
19 S 0.5000 0.2845 0.8712
20 S 0.5000 0.7524 0.3528
21 S 0.7242 0.9493 0.0707
22 S 0.7273 0.6089 0.7076
23 S 0.7727 0.3911 0.2076
24 S 0.7758 0.0507 0.5707

Principal peaks in the range 2θ from 15° to 90°, most intense first:
d [Å]  2theta  I/Imax
2.759  32.45  100
2.806  31.90  54
2.678  33.46  46
3.963  22.43  45
5.862  15.11  41
2.828  31.64  37

# 10
For Tl3Cu4As8Pb3S20, a GGA-PBE-relaxed structure gives the computed powder diffractogram in this record (Cu Kα X-rays).
Neutral-atom scattering factors, no anomalous dispersion.

a = 7.5888 Å, b = 9.9825 Å, c = 14.5573 Å
α = 94.03°, β = 91.47°, γ = 109.48°
Element x y z (fractional)
1 Tl 0.0000 0.0000 0.0000
2 Tl 0.0546 0.9553 0.7011
3 Tl 0.3724 0.9870 0.4201
4 Cu 0.7001 0.2558 0.9168
5 Cu 0.7079 0.7067 0.2066
6 Cu 0.7226 0.1874 0.7110
7 Cu 0.7313 0.7670 0.4167
8 As 0.4562 0.4173 0.3551
9 As 0.4589 0.9112 0.8662
10 As 0.5667 0.3620 0.1292
11 As 0.5923 0.8542 0.6399
12 As 0.8388 0.5956 0.9876
13 As 0.8514 0.1212 0.4986
14 As 0.9443 0.5279 0.7550
15 As 0.9800 0.0654 0.2750
16 Pb 0.0169 0.4498 0.1842
17 Pb 0.3939 0.5291 0.9424
18 Pb 0.4810 0.4722 0.6180
19 S 0.0088 0.2548 0.3817
20 S 0.4081 0.7215 0.7492
21 S 0.4186 0.2292 0.2431
22 S 0.4317 0.5399 0.1356
23 S 0.4367 0.2317 0.9989
24 S 0.4600 0.0249 0.6284
25 S 0.4722 0.6986 0.5116
26 S 0.5330 0.8171 0.9894
27 S 0.5477 0.3134 0.4690
28 S 0.6529 0.3740 0.7878
29 S 0.6881 0.8932 0.2961
30 S 0.7508 0.5776 0.3275
31 S 0.7548 0.0678 0.8406
32 S 0.8644 0.6266 0.6363
33 S 0.8776 0.1533 0.1539
34 S 0.9648 0.7375 0.1161
35 S 0.9762 0.9413 0.4922
36 S 0.9771 0.4206 0.9909
37 S 0.9927 0.2481 0.6294
38 S 0.9962 0.7207 0.8737

Principal peaks in the range 2θ from 15° to 90°, most intense first:
d [Å]  2theta  I/Imax
3.267  27.30  100
2.947  30.33  90
2.647  33.86  83
3.941  22.56  68
3.647  24.41  60
4.689  18.93  56

# 11
For TlCuAs2PbS5, a GGA-PBE-relaxed structure gives the computed powder diffractogram in this record (Cu Kα X-rays).
Neutral-atom scattering factors, no anomalous dispersion.

a = 7.9762 Å, b = 8.2546 Å, c = 9.4250 Å
α = 68.09°, β = 74.21°, γ = 63.94°
Element x y z (fractional)
1 Tl 0.2380 0.3311 0.3793
2 Tl 0.7620 0.6689 0.6207
3 Cu 0.3770 0.7954 0.3696
4 Cu 0.6230 0.2046 0.6304
5 As 0.0598 0.8608 0.6884
6 As 0.4168 0.4437 0.8609
7 As 0.5832 0.5563 0.1391
8 As 0.9402 0.1392 0.3116
9 Pb 0.2449 0.0490 0.9203
10 Pb 0.7551 0.9510 0.0797
11 S 0.1339 0.8651 0.2501
12 S 0.1502 0.6942 0.9321
13 S 0.3219 0.3886 0.6860
14 S 0.3268 0.9162 0.5656
15 S 0.3754 0.2093 0.0776
16 S 0.6246 0.7907 0.9224
17 S 0.6732 0.0838 0.4344
18 S 0.6781 0.6114 0.3140
19 S 0.8498 0.3058 0.0679
20 S 0.8661 0.1349 0.7499

Principal peaks in the range 2θ from 15° to 90°, most intense first:
d [Å]  2theta  I/Imax
3.440  25.90  100
3.073  29.06  100
3.504  25.42  76
2.897  30.86  73
3.685  24.15  64
3.935  22.60  56

# 12
For CuAsPd6, a GGA-PBE-relaxed structure gives the computed powder diffractogram in this record (Cu Kα X-rays).
Neutral-atom scattering factors, no anomalous dispersion.

a = 5.2162 Å, b = 5.2368 Å, c = 5.2485 Å
α = 73.42°, β = 73.44°, γ = 73.83°
Element x y z (fractional)
1 Cu 0.0000 0.0000 0.0000
2 As 0.5000 0.5000 0.5000
3 Pd 0.0189 0.4945 0.7454
4 Pd 0.2554 0.9768 0.5063
5 Pd 0.4943 0.7442 0.0240
6 Pd 0.5057 0.2558 0.9760
7 Pd 0.7446 0.0232 0.4937
8 Pd 0.9811 0.5055 0.2546

Principal peaks in the range 2θ from 15° to 90°, most intense first:
d [Å]  2theta  I/Imax
2.419  37.16  100
2.409  37.32  68
2.451  36.66  40
2.021  44.86  38
2.517  35.67  36
1.933  47.01  34